1.
Ac2Zn12Ir5: theoretical X-ray powder pattern (a wavelength of 1.5418 Å), based on a crystal structure in Alexandria, relaxed with GGA-PBE.
Intensities are scaled so that the largest is 100.

Structure:
Cell: 6.9445 6.9445 6.9445 Å, 83.71 83.71 83.71°
Positions (direct):
Ac: 0.1695 0.1695 0.1695
Ac: 0.8305 0.8305 0.8305
Zn: 0.1590 0.1590 0.6483
Zn: 0.1590 0.6483 0.1590
Zn: 0.2176 0.5000 0.7824
Zn: 0.2176 0.7824 0.5000
Zn: 0.3517 0.8410 0.8410
Zn: 0.5000 0.2176 0.7824
Zn: 0.5000 0.7824 0.2176
Zn: 0.6483 0.1590 0.1590
Zn: 0.7824 0.2176 0.5000
Zn: 0.7824 0.5000 0.2176
Zn: 0.8410 0.3517 0.8410
Zn: 0.8410 0.8410 0.3517
Ir: 0.0000 0.5000 0.5000
Ir: 0.4003 0.4003 0.4003
Ir: 0.5000 0.0000 0.5000
Ir: 0.5000 0.5000 0.0000
Ir: 0.5997 0.5997 0.5997

Most intense lines, 10 to 90 degrees two-theta, by angle:
2θ 12.89, I 47
2θ 27.87, I 38
2θ 33.50, I 35
2θ 38.87, I 100
2θ 39.35, I 66
2θ 40.27, I 28
2θ 40.74, I 75
2θ 44.12, I 34
2θ 45.39, I 22
2θ 57.58, I 28

2.
Ac5Zn4Ir: theoretical X-ray powder pattern (a wavelength of 1.5418 Å), based on a crystal structure in Alexandria, relaxed with GGA-PBE.
Intensities are scaled so that the largest is 100.

Structure:
Cell: 3.8623 3.8623 19.5113 Å, 90.00 90.00 90.00°
Positions (direct):
Ac: 0.0000 0.0000 0.0000
Ac: 0.0000 0.0000 0.2023
Ac: 0.0000 0.0000 0.4107
Ac: 0.0000 0.0000 0.5893
Ac: 0.0000 0.0000 0.7977
Zn: 0.5000 0.5000 0.1013
Zn: 0.5000 0.5000 0.3006
Zn: 0.5000 0.5000 0.6994
Zn: 0.5000 0.5000 0.8987
Ir: 0.5000 0.5000 0.5000

Most intense lines, 10 to 90 degrees two-theta, by angle:
2θ 22.79, I 9
2θ 23.03, I 19
2θ 32.62, I 100
2θ 32.79, I 51
2θ 40.31, I 9
2θ 47.06, I 19
2θ 58.10, I 18
2θ 58.43, I 39
2θ 68.34, I 11
2θ 78.23, I 17

3.
Ac3Zn2Ir2: theoretical X-ray powder pattern (a wavelength of 1.5418 Å), based on a crystal structure in Alexandria, relaxed with GGA-PBE.
Intensities are scaled so that the largest is 100.

Structure:
Cell: 4.2718 4.4092 19.3875 Å, 90.00 90.00 90.00°
Positions (direct):
Ac: 0.0000 0.0000 0.0000
Ac: 0.0000 0.5000 0.3148
Ac: 0.0000 0.5000 0.6852
Ac: 0.5000 0.0000 0.1852
Ac: 0.5000 0.0000 0.8148
Ac: 0.5000 0.5000 0.5000
Zn: 0.0000 0.0000 0.4338
Zn: 0.0000 0.0000 0.5662
Zn: 0.5000 0.5000 0.0662
Zn: 0.5000 0.5000 0.9338
Ir: 0.0000 0.5000 0.1446
Ir: 0.0000 0.5000 0.8554
Ir: 0.5000 0.0000 0.3554
Ir: 0.5000 0.0000 0.6446

Most intense lines, 10 to 90 degrees two-theta, by angle:
2θ 27.61, I 31
2θ 29.11, I 23
2θ 30.56, I 100
2θ 30.71, I 55
2θ 34.60, I 46
2θ 38.75, I 39
2θ 40.94, I 32
2θ 42.32, I 29
2θ 53.18, I 24
2θ 57.63, I 25

4.
Ac6ZnIr3: theoretical X-ray powder pattern (a wavelength of 1.5418 Å), based on a crystal structure in Alexandria, relaxed with GGA-PBE.
Intensities are scaled so that the largest is 100.

Structure:
Cell: 12.7395 4.4399 13.0370 Å, 90.00 111.50 90.00°
Positions (direct):
Ac: 0.0438 0.2500 0.3834
Ac: 0.1000 0.7500 0.9415
Ac: 0.2434 0.2500 0.7807
Ac: 0.2519 0.7500 0.2748
Ac: 0.4149 0.2500 0.5683
Ac: 0.4402 0.2500 0.1045
Ac: 0.5598 0.7500 0.8955
Ac: 0.5851 0.7500 0.4317
Ac: 0.7481 0.2500 0.7252
Ac: 0.7566 0.7500 0.2193
Ac: 0.9000 0.2500 0.0585
Ac: 0.9562 0.7500 0.6166
Zn: 0.2081 0.7500 0.5611
Zn: 0.7919 0.2500 0.4389
Ir: 0.0050 0.2500 0.7824
Ir: 0.3350 0.7500 0.9419
Ir: 0.4169 0.2500 0.3382
Ir: 0.5831 0.7500 0.6618
Ir: 0.6650 0.2500 0.0581
Ir: 0.9950 0.7500 0.2176

Most intense lines, 10 to 90 degrees two-theta, by angle:
2θ 13.75, I 49
2θ 24.53, I 39
2θ 27.53, I 51
2θ 27.69, I 71
2θ 28.26, I 89
2θ 29.89, I 100
2θ 35.86, I 40
2θ 39.46, I 46
2θ 40.63, I 81
2θ 50.24, I 39

5.
Ac3Zn2Ir7: theoretical X-ray powder pattern (a wavelength of 1.5418 Å), based on a crystal structure in Alexandria, relaxed with GGA-PBE.
Intensities are scaled so that the largest is 100.

Structure:
Cell: 9.1540 9.1540 9.1540 Å, 35.56 35.56 35.56°
Positions (direct):
Ac: 0.0000 0.0000 0.0000
Ac: 0.1399 0.1399 0.1399
Ac: 0.8601 0.8601 0.8601
Zn: 0.3348 0.3348 0.3348
Zn: 0.6652 0.6652 0.6652
Ir: 0.0770 0.5834 0.5834
Ir: 0.4166 0.4166 0.9230
Ir: 0.4166 0.9230 0.4166
Ir: 0.5000 0.5000 0.5000
Ir: 0.5834 0.0770 0.5834
Ir: 0.5834 0.5834 0.0770
Ir: 0.9230 0.4166 0.4166

Most intense lines, 10 to 90 degrees two-theta, by angle:
2θ 30.56, I 35
2θ 32.01, I 23
2θ 33.48, I 44
2θ 37.31, I 60
2θ 37.81, I 28
2θ 38.45, I 100
2θ 41.22, I 38
2θ 61.38, I 26
2θ 63.63, I 24
2θ 66.94, I 33

6.
Ac2Zn5Ir5: theoretical X-ray powder pattern (a wavelength of 1.5418 Å), based on a crystal structure in Alexandria, relaxed with GGA-PBE.
Intensities are scaled so that the largest is 100.

Structure:
Cell: 4.0967 5.6917 9.4192 Å, 90.00 90.00 90.00°
Positions (direct):
Ac: 0.0000 0.0000 0.0000
Ac: 0.0000 0.5000 0.5000
Zn: 0.0000 0.0000 0.3306
Zn: 0.0000 0.0000 0.6694
Zn: 0.0000 0.5000 0.1678
Zn: 0.0000 0.5000 0.8322
Zn: 0.5000 0.0000 0.5000
Ir: 0.5000 0.2450 0.2500
Ir: 0.5000 0.2450 0.7500
Ir: 0.5000 0.5000 0.0000
Ir: 0.5000 0.7550 0.2500
Ir: 0.5000 0.7550 0.7500

Most intense lines, 10 to 90 degrees two-theta, by angle:
2θ 28.47, I 73
2θ 28.89, I 68
2θ 36.90, I 100
2θ 38.22, I 47
2θ 38.52, I 78
2θ 39.47, I 95
2θ 43.21, I 39
2θ 44.22, I 54
2θ 58.91, I 53
2θ 84.97, I 33